Calculated powder diffractogram of Li7Mn4O12 for Cu Ka, from a PBE+U-relaxed structure.
Peak positions follow from Bragg's law for the DFT cell and can differ from measured ones.

Structural model:
a = 4.9994 Å, b = 4.9997 Å, c = 9.7398 Å
α = 94.52°, β = 94.38°, γ = 119.55°
Space group P1 (No. 1)
Unique sites:
Li  0.0000  0.0000  0.0000 (multiplicity 1)
Li  0.1043  0.4099  0.2517 (multiplicity 1)
Li  0.2249  0.8447  0.5077 (multiplicity 1)
Li  0.3536  0.6667  0.9998 (multiplicity 1)
Li  0.5354  0.5335  0.5067 (multiplicity 1)
Li  0.6743  0.2955  0.9940 (multiplicity 1)
Li  0.8553  0.1647  0.4996 (multiplicity 1)
Mn  0.2690  0.2487  0.7505 (multiplicity 1)
Mn  0.4351  0.0765  0.2504 (multiplicity 1)
Mn  0.7708  0.7403  0.2500 (multiplicity 1)
Mn  0.9345  0.5828  0.7508 (multiplicity 1)
O  0.0105  0.3243  0.8669 (multiplicity 1)
O  0.0704  0.7329  0.1390 (multiplicity 1)
O  0.1350  0.0834  0.3614 (multiplicity 1)
O  0.1940  0.5069  0.6344 (multiplicity 1)
O  0.2627  0.9491  0.8648 (multiplicity 1)
O  0.4259  0.3745  0.1388 (multiplicity 1)
O  0.4984  0.8043  0.3654 (multiplicity 1)
O  0.5692  0.2540  0.6366 (multiplicity 1)
O  0.6345  0.5759  0.8645 (multiplicity 1)
O  0.7086  0.0143  0.1355 (multiplicity 1)
O  0.7778  0.4413  0.3614 (multiplicity 1)
O  0.9418  0.8817  0.6362 (multiplicity 1)

Peak list (12 most intense, 10° ≤ 2θ ≤ 80°, sorted by position)
18.44°, I 100.0, hkl 0 0 2; 20.56°, I 24.9, hkl 1 -1 0; 21.43°, I 41.7, hkl 1 0 -1; 23.72°, I 30.0, hkl 0 1 1; 27.75°, I 19.2, hkl -1 1 2; 36.12°, I 11.0, hkl 1 1 0; 36.54°, I 24.1, hkl -2 1 1; 43.46°, I 35.8, hkl 1 1 2; 44.27°, I 69.1, hkl 1 -2 3; 63.29°, I 18.4, hkl 2 -1 5; 64.05°, I 9.2, hkl 1 1 -6; 64.26°, I 17.3, hkl 3 0 -1